1.
For MgCdPb, a structure optimized by DFT (GGA-PBE) gives the computed powder diffractogram in this record (Cu Kα (weighted mean of Kα1 and Kα2)).
Lines closer than 0.1° are merged.

Main lines, in order of rising 2θ (15 to 90 degrees two-theta):
- d 4.794, 18.51 deg, intensity 79
- d 3.167, 28.18 deg, intensity 88
- d 3.014, 29.63 deg, intensity 74
- d 2.560, 35.05 deg, intensity 76
- d 2.544, 35.28 deg, intensity 82
- d 2.509, 35.79 deg, intensity 100

Crystal structure
```
12
Lattice="8.5049 0.0000 0.0000 0.0000 8.3330 0.0000 -3.9132 0.0000 4.3667" Properties=species:S:1:pos:R:3 pbc="T T T"
Mg 1.1575 0.0000 1.0819
Mg -0.8182 4.1665 3.2849
Mg 3.4343 0.0000 3.2849
Mg 5.4100 4.1665 1.0819
Cd -0.9671 2.0829 1.1019
Cd 1.3065 6.2494 3.2648
Cd 3.2853 6.2494 1.1019
Cd 5.5589 2.0829 3.2648
Pb 0.0000 5.1786 0.0000
Pb -1.9566 7.3208 2.1834
Pb 4.2525 1.0121 0.0000
Pb 2.2959 3.1543 2.1834
```

2.
For Mo4RuN, a structure optimized by DFT (GGA-PBE) gives the computed powder diffractogram in this record (Cu Kα (weighted mean of Kα1 and Kα2)).
Lines closer than 0.1° are merged.

Main lines, in order of rising 2θ (15 to 90 degrees two-theta):
- d 2.795, 32.03 deg, intensity 29
- d 2.454, 36.62 deg, intensity 100
- d 2.301, 39.15 deg, intensity 44
- d 2.213, 40.77 deg, intensity 27
- d 2.172, 41.57 deg, intensity 87
- d 2.017, 44.94 deg, intensity 54

Crystal structure
```
12
Lattice="5.1106 0.0000 0.0000 0.0000 5.2938 0.0000 0.0000 0.0000 6.5806" Properties=species:S:1:pos:R:3 pbc="T T T"
Mo 0.0000 0.9239 0.9253
Mo 0.0000 4.3700 5.6553
Mo 1.2776 1.7777 4.9355
Mo 1.2776 3.5161 1.6452
Mo 2.5553 0.9239 2.3650
Mo 2.5553 4.3700 4.2156
Mo 3.8329 1.7777 4.9355
Mo 3.8329 3.5161 1.6452
Ru 0.0000 0.0000 3.2903
Ru 2.5553 0.0000 0.0000
N 0.0000 2.6469 0.0000
N 2.5553 2.6469 3.2903
```

3.
For Ho2Si2BOs2, a structure optimized by DFT (GGA-PBE) gives the computed powder diffractogram in this record (Cu Kα (weighted mean of Kα1 and Kα2)).
Lines closer than 0.1° are merged.

Main lines, in order of rising 2θ (15 to 90 degrees two-theta):
- d 2.738, 32.70 deg, intensity 100
- d 2.589, 34.64 deg, intensity 40
- d 2.512, 35.74 deg, intensity 100
- d 2.333, 38.59 deg, intensity 24
- d 2.229, 40.47 deg, intensity 29
- d 2.071, 43.72 deg, intensity 34

Crystal structure
```
14
Lattice="10.7804 0.0000 0.0000 0.0000 4.1411 0.0000 -4.2561 0.0000 5.4107" Properties=species:S:1:pos:R:3 pbc="T T T"
Ho -0.6939 0.0000 1.7990
Ho 1.8281 2.0705 3.6117
Ho 4.6963 2.0705 1.7990
Ho 7.2183 0.0000 3.6117
Si 1.1960 2.0705 0.5416
Si -0.0619 0.0000 4.8690
Si 6.5863 0.0000 0.5416
Si 5.3283 2.0705 4.8690
B -2.1280 2.0705 2.7053
B 3.2622 0.0000 2.7053
Os -1.1717 2.0705 4.4251
Os 2.3058 0.0000 0.9856
Os 4.2185 0.0000 4.4251
Os 7.6960 2.0705 0.9856
```

4.
For Y6Er4Th, a structure optimized by DFT (GGA-PBE) gives the computed powder diffractogram in this record (Cu Kα (weighted mean of Kα1 and Kα2)).
Lines closer than 0.1° are merged.

Main lines, in order of rising 2θ (15 to 90 degrees two-theta):
- d 2.932, 30.48 deg, intensity 100
- d 2.835, 31.56 deg, intensity 51
- d 2.815, 31.79 deg, intensity 98
- d 2.682, 33.41 deg, intensity 36
- d 2.037, 44.48 deg, intensity 26
- d 1.633, 56.34 deg, intensity 19

Crystal structure
```
22
Lattice="2.8351 -4.8641 0.0000 2.8351 4.8641 0.0000 0.0000 0.0000 25.6628" Properties=species:S:1:pos:R:3 pbc="T T T"
Y 0.0000 0.0000 0.0000
Y 0.0000 0.0000 12.8314
Y 2.8351 4.7713 19.2471
Y 2.8351 1.7048 2.6006
Y 2.8351 1.7048 10.2308
Y 2.8351 1.5250 17.5040
Y 2.8351 1.5250 20.9902
Y 2.8351 -1.5250 4.6726
Y 2.8351 -1.5250 8.1588
Y 2.8351 -1.7048 15.4320
Y 2.8351 -1.7048 23.0622
Y 2.8351 -4.7713 6.4157
Er 2.8351 4.7586 15.9520
Er 2.8351 4.7586 22.5422
Er 2.8351 1.5921 13.8882
Er 2.8351 1.5921 24.6060
Er 2.8351 -1.5921 1.0568
Er 2.8351 -1.5921 11.7746
Er 2.8351 -4.7586 3.1206
Er 2.8351 -4.7586 9.7108
Th 2.8351 1.7089 6.4157
Th 2.8351 -1.7089 19.2471
```

5.
For KSiH6, a structure optimized by DFT (GGA-PBE) gives the computed powder diffractogram in this record (Cu Kα (weighted mean of Kα1 and Kα2)).
Lines closer than 0.1° are merged.

Main lines, in order of rising 2θ (15 to 90 degrees two-theta):
- d 3.363, 26.50 deg, intensity 100
- d 3.329, 26.78 deg, intensity 97
- d 3.264, 27.32 deg, intensity 93
- d 2.976, 30.03 deg, intensity 71
- d 2.412, 37.27 deg, intensity 70
- d 2.331, 38.63 deg, intensity 38

Crystal structure
```
8
Lattice="3.9601 0.0000 0.0000 1.8882 4.3100 0.0000 1.9495 -0.5737 4.6612" Properties=species:S:1:pos:R:3 pbc="T T T"
K 0.0000 0.0000 0.0000
Si 1.9188 1.8681 2.3306
H 3.0841 2.9668 2.1905
H 2.0331 1.6214 0.7452
H 3.1191 0.8186 2.5693
H 4.6786 2.9177 2.0919
H 5.7646 2.1148 3.9160
H 4.7137 0.7695 2.4707
```

6.
For YBeAu3, a structure optimized by DFT (GGA-PBE) gives the computed powder diffractogram in this record (Cu Kα (weighted mean of Kα1 and Kα2)).
Lines closer than 0.1° are merged.

Main lines, in order of rising 2θ (15 to 90 degrees two-theta):
- d 2.833, 31.58 deg, intensity 22
- d 2.807, 31.88 deg, intensity 28
- d 2.555, 35.12 deg, intensity 38
- d 2.516, 35.69 deg, intensity 100
- d 2.482, 36.19 deg, intensity 55
- d 2.035, 44.52 deg, intensity 22

Crystal structure
```
20
Lattice="7.1736 0.0000 0.0000 0.0000 5.1230 0.0000 -3.7934 0.0000 10.0506" Properties=species:S:1:pos:R:3 pbc="T T T"
Y 0.7017 0.6002 1.6932
Y -1.1950 1.9613 6.7185
Y 4.5753 3.1617 3.3321
Y 2.6786 4.5229 8.3574
Be 1.0264 0.8767 4.7723
Be -0.8703 1.6849 9.7977
Be 4.2506 3.4382 0.2530
Be 2.3539 4.2464 5.2783
Au -1.1906 0.6492 3.9580
Au -3.0873 1.9124 8.9833
Au 0.5920 3.0784 3.9002
Au -1.3047 4.6061 8.9255
Au 2.2881 3.1324 1.5035
Au 0.3914 4.5521 6.5288
Au 2.9888 0.5709 3.5219
Au 1.0922 1.9906 8.5472
Au 4.6850 0.5169 1.1251
Au 2.7883 2.0446 6.1504
Au 6.4675 3.2107 1.0673
Au 4.5709 4.4739 6.0927
```

Number 4 is which compound?
Y6Er4Th

Number 4 is which compound?
Y6Er4Th